[1]
Structure and theoretical PXRD pattern of SrCe2Cu2Ge2 (the PBE geometry in Alexandria; a wavelength of 1.5418 Å).

Structure:
abc: 4.3248 4.3248 28.5418
angles: 90.00 90.00 120.00
Space group R-3m (No. 166, hexagonal axes)
Symmetry-distinct sites (fractional):
Sr (0.0000, 0.0000, 0.0000) [3 per cell]
Ce (0.0000, 0.0000, 0.1411) [6 per cell]
Cu (0.0000, 0.0000, 0.4148) [6 per cell]
Ge (0.0000, 0.0000, 0.2558) [6 per cell]

Main lines, sorted by position (5 to 70 degrees two-theta):
index  2theta  Rel. int.
0 0 3  9.30  41
1 0 1  23.96  16
1 0 7  32.46  100
0 1 8  34.73  42
1 1 0  41.77  80
0 2 7  53.87  23

***

[2]
Structure and theoretical PXRD pattern of NbIn2Cl5 (the PBE geometry in Alexandria; a wavelength of 1.5418 Å).

Structure:
abc: 10.9134 8.7708 6.5268
angles: 90.00 126.52 90.00
Space group Cm (No. 8)
Symmetry-distinct sites (fractional):
Nb (0.0000, 0.0000, 0.0000) [2 per cell]
In (0.9997, 0.5000, 0.5896) [2 per cell]
In (0.4991, 0.0000, 0.0889) [2 per cell]
Cl (0.0009, 0.0000, 0.6488) [2 per cell]
Cl (0.1884, 0.1889, 0.2854) [4 per cell]
Cl (0.3108, 0.3112, 0.9073) [4 per cell]

Main lines, sorted by position (5 to 70 degrees two-theta):
index  2theta  Rel. int.
0 0 1  16.93  55
2 0 0  20.25  81
2 0 -2  27.33  60
2 2 0  28.79  100
0 2 2  40.06  29
4 2 0  46.29  35

***

[3]
Structure and theoretical PXRD pattern of Li10GeP2O12 (the PBE geometry in Alexandria; a wavelength of 1.5418 Å).

Structure:
abc: 6.7137 7.3090 10.6223
angles: 90.79 90.65 90.13
Space group P1 (No. 1)
Symmetry-distinct sites (fractional):
Li (0.0000, 0.0000, 0.0000) [1 per cell]
Li (0.0007, 0.0237, 0.5003) [1 per cell]
Li (0.0144, 0.5833, 0.2735) [1 per cell]
Li (0.0260, 0.9878, 0.7378) [1 per cell]
Li (0.2521, 0.3265, 0.0950) [1 per cell]
Li (0.2675, 0.7067, 0.7817) [1 per cell]
Li (0.2895, 0.8293, 0.2824) [1 per cell]
Li (0.3039, 0.2905, 0.5919) [1 per cell]
Li (0.4913, 0.0243, 0.1551) [1 per cell]
Li (0.5056, 0.9724, 0.6647) [1 per cell]
Li (0.5084, 0.5733, 0.2888) [1 per cell]
Li (0.5125, 0.4116, 0.9085) [1 per cell]
Li (0.5234, 0.0564, 0.9113) [1 per cell]
Li (0.5598, 0.6050, 0.5866) [1 per cell]
Li (0.5976, 0.0094, 0.4129) [1 per cell]
Li (0.7393, 0.6771, 0.0912) [1 per cell]
Li (0.7709, 0.3225, 0.4017) [1 per cell]
Li (0.9763, 0.4057, 0.9120) [1 per cell]
Li (0.9857, 0.9645, 0.2562) [1 per cell]
Li (0.9881, 0.5144, 0.6520) [1 per cell]
Ge (0.2422, 0.7577, 0.5131) [1 per cell]
Ge (0.7561, 0.2693, 0.1421) [1 per cell]
P (0.2578, 0.2569, 0.3455) [1 per cell]
P (0.2577, 0.7389, 0.0365) [1 per cell]
P (0.7457, 0.2438, 0.6695) [1 per cell]
P (0.7547, 0.7363, 0.8366) [1 per cell]
O (0.0517, 0.7896, 0.3975) [1 per cell]
O (0.0664, 0.7645, 0.1194) [1 per cell]
O (0.0692, 0.2527, 0.4283) [1 per cell]
O (0.2303, 0.9555, 0.6150) [1 per cell]
O (0.2560, 0.0880, 0.2528) [1 per cell]
O (0.2561, 0.5530, 0.9626) [1 per cell]
O (0.2560, 0.5606, 0.6087) [1 per cell]
O (0.2592, 0.4347, 0.2664) [1 per cell]
O (0.2638, 0.8992, 0.9404) [1 per cell]
O (0.4418, 0.7550, 0.1290) [1 per cell]
O (0.4465, 0.2485, 0.4304) [1 per cell]
O (0.4720, 0.7629, 0.4281) [1 per cell]
O (0.5336, 0.2386, 0.0474) [1 per cell]
O (0.5506, 0.2282, 0.7488) [1 per cell]
O (0.5684, 0.7453, 0.7484) [1 per cell]
O (0.7372, 0.0842, 0.2525) [1 per cell]
O (0.7419, 0.5649, 0.9216) [1 per cell]
O (0.7428, 0.4145, 0.5845) [1 per cell]
O (0.7539, 0.0656, 0.5857) [1 per cell]
O (0.7572, 0.4784, 0.2318) [1 per cell]
O (0.7611, 0.9098, 0.9223) [1 per cell]
O (0.9406, 0.2560, 0.7508) [1 per cell]
O (0.9487, 0.7264, 0.7587) [1 per cell]
O (0.9754, 0.2461, 0.0534) [1 per cell]

Main lines, sorted by position (5 to 70 degrees two-theta):
index  2theta  Rel. int.
1 0 -1  15.54  34
1 1 0  17.94  89
0 2 0  24.37  100
1 -1 2  24.58  65
2 0 0  26.56  39
0 2 -3  35.05  35

***

[4]
Structure and theoretical PXRD pattern of Ho8ZnTe4Se3 (the PBE geometry in Alexandria; a wavelength of 1.5418 Å).

Structure:
abc: 8.3562 8.3562 21.0396
angles: 90.00 90.00 120.00
Space group R-3m (No. 166, hexagonal axes)
Symmetry-distinct sites (fractional):
Ho (0.0000, 0.0000, 0.2394) [6 per cell]
Ho (0.0097, 0.5049, 0.2399) [18 per cell]
Zn (0.0000, 0.0000, 0.5000) [3 per cell]
Te (0.0000, 0.0000, 0.0000) [3 per cell]
Te (0.0000, 0.5000, 0.0000) [9 per cell]
Se (0.0000, 0.5000, 0.5000) [9 per cell]

Main lines, sorted by position (5 to 70 degrees two-theta):
index  2theta  Rel. int.
2 0 2  26.04  8
0 2 4  29.97  100
2 0 8  42.49  34
2 2 0  43.31  38
4 0 4  53.57  19
0 4 8  62.29  11